Computed X-ray diffraction stick pattern
Compound: BaRh3
Radiation: CuKα
Structure: a GGA-PBE-relaxed structure
Peak positions follow from Bragg's law for the DFT cell and can differ from measured ones.

Crystal structure
```
BaRh3
1.0
7.7070 0.0000 0.0000
0.0000 6.9336 0.0000
0.0000 0.0000 6.3803
Ba Rh
4 12
Direct
0.0177 0.2500 0.1260
0.4823 0.7500 0.6260
0.5177 0.2500 0.3740
0.9823 0.7500 0.8740
0.1471 0.0649 0.5695
0.1471 0.4351 0.5695
0.1484 0.7500 0.3402
0.3516 0.2500 0.8402
0.3529 0.5649 0.0695
0.3529 0.9351 0.0695
0.6471 0.0649 0.9305
0.6471 0.4351 0.9305
0.6484 0.7500 0.1598
0.8516 0.2500 0.6598
0.8529 0.5649 0.4305
0.8529 0.9351 0.4305
```

Main lines, by intensity (2θ from 5° to 70°):
2θ (°)  I (rel.)
33.02  100
37.75  69
31.58  41
30.00  41
37.64  37
43.26  36
45.78  27
40.16  26
62.75  22
51.25  20
34.81  16
56.08  16



Computed X-ray diffraction stick pattern
Compound: Y2BiS5
Radiation: CuKα
Structure: a GGA-PBE-relaxed structure
Peak positions follow from Bragg's law for the DFT cell and can differ from measured ones.

Crystal structure
```
Y2BiS5
1.0
2.6758 -6.7487 0.0000
2.6758 6.7487 0.0000
0.0000 0.0000 13.2012
Y Bi S
4 2 10
Direct
0.1577 0.8423 0.5662
0.1577 0.8423 0.9338
0.8423 0.1577 0.0662
0.8423 0.1577 0.4338
0.1710 0.8290 0.2500
0.8290 0.1710 0.7500
0.0404 0.9596 0.1001
0.0404 0.9596 0.3999
0.2622 0.7378 0.7500
0.3032 0.6968 0.0808
0.3032 0.6968 0.4192
0.6968 0.3032 0.5808
0.6968 0.3032 0.9192
0.7378 0.2622 0.2500
0.9596 0.0404 0.6001
0.9596 0.0404 0.8999
```

Main lines, by intensity (2θ from 5° to 70°):
2θ (°)  I (rel.)
33.48  100
24.14  79
17.83  79
13.12  62
42.78  49
27.05  48
25.87  40
48.07  39
41.71  37
19.06  35
37.75  25
14.74  23



Computed X-ray diffraction stick pattern
Compound: CsThS2F
Radiation: CuKα
Structure: a GGA-PBE-relaxed structure
Peak positions follow from Bragg's law for the DFT cell and can differ from measured ones.

Crystal structure
```
CsThS2F
1.0
8.4846 0.0000 0.0000
0.0000 4.2308 0.0000
-2.8635 0.0000 9.0350
Cs Th S F
2 2 4 2
Direct
0.2165 0.2500 0.3074
0.7835 0.7500 0.6926
0.3196 0.2500 0.8248
0.6804 0.7500 0.1752
0.3311 0.7500 0.6423
0.3339 0.7500 0.0319
0.6661 0.2500 0.9681
0.6689 0.2500 0.3577
0.0488 0.2500 0.7722
0.9512 0.7500 0.2278
```

Main lines, by intensity (2θ from 5° to 70°):
2θ (°)  I (rel.)
23.73  100
28.74  83
28.91  83
21.98  63
12.29  57
19.65  52
42.76  47
37.96  46
19.40  44
39.59  33
21.19  29
38.28  28